Record 1
Structure and calculated powder diffractogram of Nd4SmEr8 (a crystal structure in Alexandria, relaxed with PBE; Cu Ka).
Kinematic intensities with the Lorentz-polarization factor, no thermal factor.

Cell and atoms:
a b c (Å): 11.0293 11.0293 13.4792
angles (deg): 90.00 90.00 120.00
Space group R-3m (No. 166, hexagonal axes)
Asymmetric unit:
Nd 0.0000 0.0000 0.0000 (multiplicity 3)
Nd 0.0000 0.5000 0.0000 (multiplicity 9)
Sm 0.0000 0.0000 0.5000 (multiplicity 3)
Er 0.0000 0.0000 0.2396 (multiplicity 6)
Er 0.0136 0.5068 0.7464 (multiplicity 18)

Main lines, by intensity (2θ from 10° to 80°):
hkl, 2θ/deg, I_rel
2 2 0, 32.50, 1000
6 0 0, 57.95, 278
4 0 4, 46.62, 180
6 2 4, 77.46, 152
0 0 3, 19.73, 104
2 0 2, 22.82, 100
2 0 8, 58.05, 92
2 2 3, 38.30, 57

***

Record 2
Structure and calculated powder diffractogram of Nd6Sm12Er (a crystal structure in Alexandria, relaxed with PBE; Cu Ka).
Kinematic intensities with the Lorentz-polarization factor, no thermal factor.

Cell and atoms:
a b c (Å): 16.5719 16.5719 8.4391
angles (deg): 90.00 90.00 120.00
Space group R-3m (No. 166, hexagonal axes)
Asymmetric unit:
Nd 0.0854 0.1708 0.1459 (multiplicity 18)
Sm 0.0000 0.3799 0.0000 (multiplicity 18)
Sm 0.0942 0.5471 0.3114 (multiplicity 18)
Er 0.0000 0.0000 0.5000 (multiplicity 3)

Main lines, by intensity (2θ from 10° to 80°):
hkl, 2θ/deg, I_rel
1 2 2, 26.77, 1000
3 3 0, 32.42, 978
0 5 1, 32.96, 774
3 1 2, 30.88, 709
4 0 1, 27.00, 559
1 1 3, 33.65, 510
4 4 3, 55.08, 437
1 3 1, 24.73, 389

***

Record 3
Structure and calculated powder diffractogram of Nd8Sm3Er2 (a crystal structure in Alexandria, relaxed with PBE; Cu Ka).
Kinematic intensities with the Lorentz-polarization factor, no thermal factor.

Cell and atoms:
a b c (Å): 20.4432 7.7514 5.8060
angles (deg): 90.00 90.03 90.00
Space group C2/m (No. 12)
Asymmetric unit:
Nd 0.1075 0.2072 0.0004 (multiplicity 8)
Nd 0.1338 0.5000 0.4996 (multiplicity 4)
Nd 0.1744 0.0000 0.5012 (multiplicity 4)
Sm 0.0000 0.2130 0.5000 (multiplicity 4)
Sm 0.0000 0.5000 0.0000 (multiplicity 2)
Er 0.2407 0.5000 0.9986 (multiplicity 4)

Main lines, by intensity (2θ from 10° to 80°):
hkl, 2θ/deg, I_rel
4 2 -1, 32.85, 1000
0 0 2, 30.80, 452
5 1 1, 29.09, 380
6 0 -1, 30.42, 350
2 2 0, 24.56, 244
4 2 -3, 56.08, 217
9 3 0, 53.72, 149
8 0 -2, 47.34, 139

***

Record 4
Structure and calculated powder diffractogram of NdSm2Er (a crystal structure in Alexandria, relaxed with PBE; Cu Ka).
Kinematic intensities with the Lorentz-polarization factor, no thermal factor.

Cell and atoms:
a b c (Å): 5.7838 7.3480 6.3512
angles (deg): 90.00 90.00 90.00
Space group Pmmn (No. 59, origin choice 2)
Asymmetric unit:
Nd 0.2500 0.2500 0.1651 (multiplicity 2)
Sm 0.2500 0.0013 0.6661 (multiplicity 4)
Er 0.2500 0.7500 0.1671 (multiplicity 2)

Main lines, by intensity (2θ from 10° to 80°):
hkl, 2θ/deg, I_rel
1 0 2, 32.13, 1000
2 0 0, 30.92, 246
0 2 1, 28.07, 237
3 0 2, 55.77, 210
1 4 2, 60.40, 165
2 2 1, 42.25, 158
2 2 3, 59.69, 152
0 2 3, 49.70, 131

***

Record 5
Structure and calculated powder diffractogram of Nd3Sm6Er2 (a crystal structure in Alexandria, relaxed with PBE; Cu Ka).
Kinematic intensities with the Lorentz-polarization factor, no thermal factor.

Cell and atoms:
a b c (Å): 4.8147 4.8147 33.5435
angles (deg): 90.00 90.00 90.00
Space group I4/mmm (No. 139)
Asymmetric unit:
Nd 0.0000 0.0000 0.0000 (multiplicity 2)
Nd 0.0000 0.0000 0.2017 (multiplicity 4)
Sm 0.0000 0.0000 0.3045 (multiplicity 4)
Sm 0.0000 0.5000 0.1194 (multiplicity 8)
Er 0.0000 0.0000 0.4544 (multiplicity 4)

Main lines, by intensity (2θ from 10° to 80°):
hkl, 2θ/deg, I_rel
1 1 4, 28.29, 1000
1 1 8, 33.92, 761
2 0 0, 37.35, 618
2 0 12, 50.00, 254
3 1 8, 65.19, 230
0 0 12, 32.02, 221
3 1 4, 61.94, 219
2 2 0, 53.86, 216

***

Record 6
Structure and calculated powder diffractogram of Nd3Sm2Er8 (a crystal structure in Alexandria, relaxed with PBE; Cu Ka).
Kinematic intensities with the Lorentz-polarization factor, no thermal factor.

Cell and atoms:
a b c (Å): 8.1140 5.2394 10.5150
angles (deg): 90.00 104.92 90.00
Space group P2/m (No. 10)
Asymmetric unit:
Nd 0.0000 0.0000 0.0000 (multiplicity 1)
Nd 0.2739 0.5000 0.9295 (multiplicity 2)
Sm 0.3255 0.0000 0.4023 (multiplicity 2)
Er 0.1116 0.0000 0.6799 (multiplicity 2)
Er 0.1587 0.5000 0.2322 (multiplicity 2)
Er 0.3846 0.5000 0.6182 (multiplicity 2)
Er 0.4620 0.0000 0.1465 (multiplicity 2)

Main lines, by intensity (2θ from 10° to 80°):
hkl, 2θ/deg, I_rel
1 1 -3, 31.04, 1000
2 1 1, 31.52, 890
0 2 0, 34.23, 442
3 0 -2, 34.31, 331
3 2 -2, 49.24, 240
2 3 1, 59.59, 228
1 0 4, 40.03, 191
1 2 4, 53.66, 163

***

Record 7
Structure and calculated powder diffractogram of Nd7Sm2Er3 (a crystal structure in Alexandria, relaxed with PBE; Cu Ka).
Kinematic intensities with the Lorentz-polarization factor, no thermal factor.

Cell and atoms:
a b c (Å): 5.9011 3.6421 19.1006
angles (deg): 90.00 93.84 90.00
Space group P2/m (No. 10)
Asymmetric unit:
Nd 0.0000 0.0000 0.0000 (multiplicity 1)
Nd 0.1749 0.5000 0.1815 (multiplicity 2)
Nd 0.2584 0.5000 0.5353 (multiplicity 2)
Nd 0.3281 0.0000 0.8558 (multiplicity 2)
Sm 0.2965 0.5000 0.7021 (multiplicity 2)
Er 0.2162 0.0000 0.3684 (multiplicity 2)
Er 0.5000 0.5000 0.0000 (multiplicity 1)

Main lines, by intensity (2θ from 10° to 80°):
hkl, 2θ/deg, I_rel
1 1 2, 30.66, 1000
2 0 -1, 30.40, 663
1 0 6, 32.92, 357
0 1 4, 30.90, 352
1 0 -6, 31.08, 343
1 1 -4, 33.97, 336
1 1 -3, 31.69, 320
0 0 6, 28.09, 292

***

Record 8
Structure and calculated powder diffractogram of Nd12SmEr5 (a crystal structure in Alexandria, relaxed with PBE; Cu Ka).
Kinematic intensities with the Lorentz-polarization factor, no thermal factor.

Cell and atoms:
a b c (Å): 15.3596 15.4268 5.1436
angles (deg): 90.00 90.00 90.00
Space group Cmmm (No. 65)
Asymmetric unit:
Nd 0.1642 0.0000 0.0000 (multiplicity 4)
Nd 0.1646 0.1664 0.5000 (multiplicity 8)
Nd 0.1652 0.3329 0.0000 (multiplicity 8)
Nd 0.1659 0.5000 0.5000 (multiplicity 4)
Sm 0.0000 0.5000 0.0000 (multiplicity 2)
Er 0.0000 0.0000 0.5000 (multiplicity 2)
Er 0.0000 0.1667 0.0000 (multiplicity 4)
Er 0.0000 0.3325 0.5000 (multiplicity 4)

Main lines, by intensity (2θ from 10° to 80°):
hkl, 2θ/deg, I_rel
3 3 1, 30.14, 1000
0 6 0, 34.89, 340
3 9 1, 59.65, 289
6 6 0, 50.29, 241
6 0 0, 35.05, 167
9 3 1, 59.87, 142
6 6 2, 62.67, 124
0 6 2, 50.17, 122